No. 1
For LiTa2Br, DFT lattice parameters and positions (GGA-PBE) gives the theoretical PXRD pattern in this record (λ = 1.5418 Å (Cu Kα)).
Neutral-atom scattering factors, no anomalous dispersion.

Principal peaks in the range 2θ from 10° to 90°, most intense first:
2θ/deg, I_rel
13.3, 100
42.8, 95
36.5, 79
26.5, 58
32.7, 39
39.0, 31
26.8, 26
45.9, 24
70.0, 22
70.1, 22
55.1, 16
82.5, 14

Structural model:
```
LiTa2Br
1.0
6.870 -1.737 0.000
6.870 1.737 0.000
-0.877 0.000 3.370
Li Ta Br
1 2 1
Direct
0.000 0.000 0.000
0.295 0.295 0.295
0.705 0.705 0.705
0.500 0.500 0.500
```

No. 2
For Sr4Zr5, DFT lattice parameters and positions (GGA-PBE) gives the theoretical PXRD pattern in this record (λ = 1.5418 Å (Cu Kα)).
Neutral-atom scattering factors, no anomalous dispersion.

Principal peaks in the range 2θ from 10° to 90°, most intense first:
2θ/deg, I_rel
30.4, 100
35.0, 29
51.0, 19
36.0, 19
59.9, 13
11.5, 13
61.3, 13
38.6, 13
72.5, 11
50.3, 7
63.4, 6
83.1, 5

Structural model:
```
Sr4Zr5
1.0
-5.444 5.444 2.497
5.444 -5.444 2.497
5.444 5.444 -2.497
Sr Zr
4 5
Direct
0.000 0.312 0.312
0.000 0.688 0.688
0.312 0.000 0.312
0.688 0.000 0.688
0.000 0.000 0.000
0.363 0.363 0.727
0.363 0.637 0.000
0.637 0.363 0.000
0.637 0.637 0.273
```

No. 3
For RbRhS2, DFT lattice parameters and positions (GGA-PBE) gives the theoretical PXRD pattern in this record (λ = 1.5418 Å (Cu Kα)).
Neutral-atom scattering factors, no anomalous dispersion.

Principal peaks in the range 2θ from 10° to 90°, most intense first:
2θ/deg, I_rel
34.7, 100
27.9, 52
48.7, 47
24.9, 42
28.8, 32
12.4, 29
55.5, 28
40.6, 25
61.2, 18
51.1, 18
55.0, 16
81.9, 16

Structural model:
```
RbRhS2
1.0
1.869 1.079 7.143
-1.869 1.079 7.143
0.000 -2.158 7.143
Rb Rh S
1 1 2
Direct
0.000 0.000 0.000
0.830 0.830 0.830
0.216 0.216 0.216
0.445 0.445 0.445
```

No. 4
For CsPmCuS2, DFT lattice parameters and positions (GGA-PBE) gives the theoretical PXRD pattern in this record (λ = 1.5418 Å (Cu Kα)).
Neutral-atom scattering factors, no anomalous dispersion.

Principal peaks in the range 2θ from 10° to 90°, most intense first:
2θ/deg, I_rel
22.3, 100
29.7, 85
32.8, 62
21.6, 58
25.3, 53
11.1, 51
39.3, 45
45.5, 43
41.7, 32
28.6, 32
51.3, 25
38.6, 24

Structural model:
```
CsPmCuS2
1.0
8.110 0.000 0.000
0.000 4.793 0.000
-1.498 0.000 7.972
Cs Pm Cu S
2 2 2 4
Direct
0.000 0.186 0.250
0.000 0.814 0.750
0.500 0.494 0.750
0.500 0.506 0.250
0.500 0.000 0.000
0.500 0.000 0.500
0.289 0.303 0.963
0.289 0.697 0.463
0.711 0.303 0.537
0.711 0.697 0.037
```

No. 5
For RbAc2Be2O6, DFT lattice parameters and positions (GGA-PBE) gives the theoretical PXRD pattern in this record (λ = 1.5418 Å (Cu Kα)).
Neutral-atom scattering factors, no anomalous dispersion.

Principal peaks in the range 2θ from 10° to 90°, most intense first:
2θ/deg, I_rel
18.1, 100
25.4, 50
27.0, 43
29.4, 43
32.2, 40
25.7, 33
30.7, 29
18.3, 26
29.7, 26
21.2, 23
35.4, 19
44.3, 17

Structural model:
```
RbAc2Be2O6
1.0
5.950 0.000 0.000
-2.152 5.901 0.000
-2.783 -2.064 5.766
Rb Ac Be O
1 2 2 6
Direct
0.000 0.000 0.000
0.378 0.292 0.672
0.622 0.708 0.328
0.279 0.735 0.715
0.721 0.265 0.285
0.110 0.875 0.645
0.302 0.603 0.897
0.461 0.708 0.609
0.539 0.292 0.391
0.698 0.397 0.103
0.890 0.125 0.355
```